Starting from a DFT-relaxed cell (PBE, OQMD), the PXRD pattern of Pr2I5Br was calculated for a wavelength of 1.5418 Å.

Crystal structure
```
data_Pr2I5Br
_cell_length_a 8.8641
_cell_length_b 4.4659
_cell_length_c 8.9912
_cell_angle_alpha 90.00
_cell_angle_beta 119.16
_cell_angle_gamma 90.00
_space_group_name_H-M_alt 'P 1 m 1'
_space_group_IT_number 6
_space_group_name_Hall 'P -2y'
loop_
_atom_site_label
_atom_site_fract_x
_atom_site_fract_y
_atom_site_fract_z
Pr1 0.0000 0.0000 0.0000
Pr2 0.3340 0.5000 0.6730
I1 0.0569 0.0000 0.4184
I2 0.2840 0.5000 0.2238
I3 0.5747 0.0000 0.6262
I4 0.7518 0.5000 0.0371
I5 0.9663 0.5000 0.7213
Br1 0.3591 0.0000 0.9118
```

Top 10 peaks for 5 to 70 degrees two-theta, by angle:
two_theta  I_rel  h k l
11.3  318  0 0 1
11.5  767  1 0 -1
28.1  1000  1 1 -2
28.4  485  2 1 -1
30.3  961  0 1 2
30.6  743  2 1 0
30.7  715  2 1 -2
36.4  281  1 1 2
40.4  436  0 2 0
55.2  466  3 1 2

Starting from a DFT-relaxed cell (PBE, OQMD), the PXRD pattern of PuI2Br2 was calculated for a wavelength of 1.5418 Å.

Crystal structure
```
data_PuI2Br2
_cell_length_a 8.8924
_cell_length_b 9.3259
_cell_length_c 10.7261
_cell_angle_alpha 90.00
_cell_angle_beta 90.00
_cell_angle_gamma 90.00
_space_group_name_H-M_alt 'I m m m'
_space_group_IT_number 71
_space_group_name_Hall '-I 2 2'
loop_
_atom_site_label
_atom_site_fract_x
_atom_site_fract_y
_atom_site_fract_z
Pu1 0.2467 0.0000 0.0000
I1 0.0000 0.0000 0.2009
I2 0.0000 0.5000 0.3061
Br1 0.2384 0.2855 0.0000
```

Top 10 peaks for 5 to 70 degrees two-theta, by angle:
two_theta  I_rel  h k l
12.6  1000  0 1 1
19.0  292  0 2 0
26.0  878  2 0 2
29.9  302  0 3 1
32.4  227  2 2 2
33.6  425  2 1 3
38.6  151  0 4 0
40.6  157  4 0 0
43.6  367  2 3 3
47.2  282  2 4 2

Starting from a DFT-relaxed cell (PBE, OQMD), the PXRD pattern of ZrS2IBr was calculated for a wavelength of 1.5418 Å.

Crystal structure
```
data_ZrS2IBr
_cell_length_a 7.0065
_cell_length_b 7.1071
_cell_length_c 7.9224
_cell_angle_alpha 69.61
_cell_angle_beta 69.27
_cell_angle_gamma 61.34
_space_group_name_H-M_alt 'P -1'
_space_group_IT_number 2
_space_group_name_Hall '-P 1'
loop_
_atom_site_label
_atom_site_fract_x
_atom_site_fract_y
_atom_site_fract_z
Zr1 0.2221 0.1316 0.9998
S1 0.4262 0.9525 0.2767
S2 0.4723 0.2287 0.1028
I1 0.1617 0.5862 0.7560
Br1 0.0238 0.8336 0.2208
```

Top 10 peaks for 5 to 70 degrees two-theta, by angle:
two_theta  I_rel  h k l
12.2  1000  0 0 1
14.8  317  1 0 0
15.7  423  1 1 1
16.9  280  1 0 1
26.9  246  1 2 0
27.8  464  -1 1 1
29.4  503  2 1 2
33.6  261  1 2 -1
34.4  301  0 2 -1
35.3  261  -1 1 2

Starting from a DFT-relaxed cell (PBE, OQMD), the PXRD pattern of ZrSe2IBr was calculated for a wavelength of 1.5418 Å.

Crystal structure
```
data_ZrSe2IBr
_cell_length_a 7.1152
_cell_length_b 7.1846
_cell_length_c 7.8348
_cell_angle_alpha 69.04
_cell_angle_beta 69.71
_cell_angle_gamma 61.96
_space_group_name_H-M_alt 'P -1'
_space_group_IT_number 2
_space_group_name_Hall '-P 1'
loop_
_atom_site_label
_atom_site_fract_x
_atom_site_fract_y
_atom_site_fract_z
Zr1 0.1301 0.2223 0.9998
Se1 0.0623 0.5801 0.6972
Se2 0.2526 0.4709 0.1021
I1 0.4128 0.8472 0.2466
Br1 0.1634 0.9816 0.7780
```

Top 10 peaks for 5 to 70 degrees two-theta, by angle:
two_theta  I_rel  h k l
12.4  1000  0 0 1
15.6  351  1 1 1
24.9  213  0 0 2
27.4  621  1 -1 1
29.1  719  1 2 2
32.0  318  2 2 0
34.2  456  2 0 -1
35.2  374  1 -1 2
37.7  193  2 1 3
48.4  195  2 1 4

Starting from a DFT-relaxed cell (PBE, OQMD), the PXRD pattern of InIrBr6 was calculated for a wavelength of 1.5418 Å.

Crystal structure
```
data_InIrBr6
_cell_length_a 6.7355
_cell_length_b 11.6389
_cell_length_c 6.9300
_cell_angle_alpha 90.00
_cell_angle_beta 109.20
_cell_angle_gamma 90.00
_space_group_name_H-M_alt 'C 1 2 1'
_space_group_IT_number 5
_space_group_name_Hall 'C 2y'
loop_
_atom_site_label
_atom_site_fract_x
_atom_site_fract_y
_atom_site_fract_z
In1 0.0000 0.0000 0.0000
Ir1 0.0000 0.6665 0.0000
Br1 0.2197 0.8200 0.2249
Br2 0.2283 0.6631 0.7787
Br3 0.2324 0.5170 0.2231
```

Top 10 peaks for 5 to 70 degrees two-theta, by angle:
two_theta  I_rel  h k l
13.5  1000  0 0 1
15.2  240  0 2 0
15.9  417  1 1 0
17.7  278  1 1 -1
26.9  311  1 3 0
32.2  513  2 0 -2
32.3  980  1 3 1
42.0  245  1 3 2
45.7  332  1 3 -3
46.8  481  0 6 0

Starting from a DFT-relaxed cell (PBE, OQMD), the PXRD pattern of PrNd2InBr3 was calculated for a wavelength of 1.5418 Å.

Crystal structure
```
data_PrNd2InBr3
_cell_length_a 6.1311
_cell_length_b 6.1311
_cell_length_c 6.1382
_cell_angle_alpha 90.00
_cell_angle_beta 90.00
_cell_angle_gamma 90.00
_space_group_name_H-M_alt 'P 4/m m m'
_space_group_IT_number 123
_space_group_name_Hall '-P 4 2'
loop_
_atom_site_label
_atom_site_fract_x
_atom_site_fract_y
_atom_site_fract_z
Pr1 0.0000 0.0000 0.0000
Nd1 0.0000 0.5000 0.5000
In1 0.0000 0.0000 0.5000
Br1 0.0000 0.5000 0.0000
Br2 0.5000 0.5000 0.5000
```

Top 10 peaks for 5 to 70 degrees two-theta, by angle:
two_theta  I_rel  h k l
14.4  263  0 0 1
20.5  91  1 1 0
29.1  1000  2 0 0
32.6  149  2 0 1
41.6  751  2 2 0
44.3  80  2 2 1
51.6  266  2 2 2
60.4  124  4 0 0
62.4  45  4 0 1
68.4  339  4 2 0

Starting from a DFT-relaxed cell (PBE, OQMD), the PXRD pattern of TbSmIn2Br2 was calculated for a wavelength of 1.5418 Å.

Crystal structure
```
data_TbSmIn2Br2
_cell_length_a 4.4601
_cell_length_b 4.4601
_cell_length_c 11.0011
_cell_angle_alpha 90.00
_cell_angle_beta 90.00
_cell_angle_gamma 120.00
_space_group_name_H-M_alt 'P 3 m 1'
_space_group_IT_number 156
_space_group_name_Hall 'P 3 -2"'
loop_
_atom_site_label
_atom_site_fract_x
_atom_site_fract_y
_atom_site_fract_z
Tb1 0.0000 0.0000 0.0000
Sm1 0.0000 0.0000 0.5946
In1 0.3333 0.6667 0.8470
In2 0.6667 0.3333 0.7525
Br1 0.3333 0.6667 0.4434
Br2 0.6667 0.3333 0.1464
```

Top 10 peaks for 5 to 70 degrees two-theta, by angle:
two_theta  I_rel  h k l
8.0  772  0 0 1
28.2  1000  1 0 2
33.7  607  1 0 3
40.4  555  1 1 0
47.6  282  0 1 5
50.1  203  0 2 2
53.6  160  0 2 3
64.2  114  2 0 5
66.2  173  2 1 2
69.3  147  2 1 3

Starting from a DFT-relaxed cell (PBE, OQMD), the PXRD pattern of ZnIn3Br6 was calculated for a wavelength of 1.5418 Å.

Crystal structure
```
data_ZnIn3Br6
_cell_length_a 10.9165
_cell_length_b 10.9165
_cell_length_c 10.9165
_cell_angle_alpha 90.00
_cell_angle_beta 90.00
_cell_angle_gamma 90.00
_space_group_name_H-M_alt 'F m -3 m'
_space_group_IT_number 225
_space_group_name_Hall '-F 4 2 3'
loop_
_atom_site_label
_atom_site_fract_x
_atom_site_fract_y
_atom_site_fract_z
Zn1 0.0000 0.0000 0.0000
In1 0.0000 0.0000 0.5000
In2 0.2500 0.2500 0.2500
Br1 0.0000 0.0000 0.2418
```

Top 10 peaks for 5 to 70 degrees two-theta, by angle:
two_theta  I_rel  h k l
16.2  101  2 0 0
23.0  396  2 2 0
28.3  682  2 2 2
32.8  1000  4 0 0
40.5  178  4 2 2
47.1  704  4 4 0
55.9  283  6 2 2
58.6  238  4 4 4
63.8  92  6 4 2
68.8  109  8 0 0

Starting from a DFT-relaxed cell (PBE, OQMD), the PXRD pattern of IrBr4 was calculated for a wavelength of 1.5418 Å.

Crystal structure
```
data_IrBr4
_cell_length_a 11.3298
_cell_length_b 11.8761
_cell_length_c 7.5931
_cell_angle_alpha 90.00
_cell_angle_beta 90.00
_cell_angle_gamma 90.00
_space_group_name_H-M_alt 'F d d 2'
_space_group_IT_number 43
_space_group_name_Hall 'F 2 -2d'
loop_
_atom_site_label
_atom_site_fract_x
_atom_site_fract_y
_atom_site_fract_z
Ir1 0.0000 0.0000 0.0000
Br1 0.1141 0.0829 0.2647
Br2 0.1231 0.0936 0.7868
```

Top 10 peaks for 5 to 70 degrees two-theta, by angle:
two_theta  I_rel  h k l
15.9  1000  1 1 1
21.7  539  2 2 0
26.6  290  1 3 1
27.4  222  3 1 1
32.1  840  2 2 2
34.1  284  2 4 0
41.8  200  2 4 2
42.6  488  4 2 2
44.2  301  4 4 0
52.1  310  0 6 2

Starting from a DFT-relaxed cell (PBE, OQMD), the PXRD pattern of IrBr4 was calculated for a wavelength of 1.5418 Å.

Crystal structure
```
data_IrBr4
_cell_length_a 8.2623
_cell_length_b 8.8637
_cell_length_c 3.6709
_cell_angle_alpha 90.00
_cell_angle_beta 90.00
_cell_angle_gamma 90.00
_space_group_name_H-M_alt 'C m m m'
_space_group_IT_number 65
_space_group_name_Hall '-C 2 2'
loop_
_atom_site_label
_atom_site_fract_x
_atom_site_fract_y
_atom_site_fract_z
Ir1 0.0000 0.0000 0.0000
Br1 0.0000 0.1914 0.5000
Br2 0.2031 0.5000 0.0000
```

Top 10 peaks for 5 to 70 degrees two-theta, by angle:
two_theta  I_rel  h k l
14.7  1000  1 1 0
20.0  332  0 2 0
21.5  245  2 0 0
31.6  905  0 2 1
34.1  462  3 1 0
40.7  471  0 4 0
42.3  240  3 1 1
51.8  425  3 3 1
55.1  231  4 2 1
61.6  166  3 1 2

Starting from a DFT-relaxed cell (PBE, OQMD), the PXRD pattern of IrBr3 was calculated for a wavelength of 1.5418 Å.

Crystal structure
```
data_IrBr3
_cell_length_a 6.3718
_cell_length_b 6.3718
_cell_length_c 6.4965
_cell_angle_alpha 90.00
_cell_angle_beta 90.00
_cell_angle_gamma 120.00
_space_group_name_H-M_alt 'P 63/m c m'
_space_group_IT_number 193
_space_group_name_Hall '-P 6c 2'
loop_
_atom_site_label
_atom_site_fract_x
_atom_site_fract_y
_atom_site_fract_z
Ir1 0.0000 0.0000 0.0000
Br1 0.0000 0.3002 0.2500
```

Top 10 peaks for 5 to 70 degrees two-theta, by angle:
two_theta  I_rel  h k l
16.1  1000  1 0 0
31.3  352  1 1 1
32.0  194  1 0 2
39.6  411  1 1 2
43.0  200  2 0 2
43.4  92  2 1 0
49.6  187  3 0 0
51.0  86  1 1 3
52.1  184  2 1 2
65.2  89  2 2 2

Starting from a DFT-relaxed cell (PBE, OQMD), the PXRD pattern of IrBr3 was calculated for a wavelength of 1.5418 Å.

Crystal structure
```
data_IrBr3
_cell_length_a 6.3976
_cell_length_b 6.3976
_cell_length_c 6.3856
_cell_angle_alpha 90.00
_cell_angle_beta 90.00
_cell_angle_gamma 120.00
_space_group_name_H-M_alt 'P -3 1 m'
_space_group_IT_number 162
_space_group_name_Hall '-P 3 2'
loop_
_atom_site_label
_atom_site_fract_x
_atom_site_fract_y
_atom_site_fract_z
Ir1 0.3333 0.6667 0.0000
Br1 0.0000 0.3504 0.7816
```

Top 10 peaks for 5 to 70 degrees two-theta, by angle:
two_theta  I_rel  h k l
13.9  923  0 0 1
16.0  426  1 0 0
21.2  351  1 0 1
31.3  1000  1 1 1
39.9  717  1 1 2
45.6  141  2 1 1
49.3  361  3 0 0
51.6  534  2 -1 3
59.6  152  4 -2 1
65.3  220  4 -2 2